Structure and computed powder XRD pattern of Sm5ErCd3 (a GGA-PBE-relaxed structure; Cu Ka).
Neutral-atom scattering factors, no anomalous dispersion.

Peak list (10 most intense, 2θ from 10° to 90°, by angle)
31.97 deg, I 100; 33.23 deg, I 96; 46.78 deg, I 35; 52.33 deg, I 9; 58.58 deg, I 35; 59.37 deg, I 18; 63.41 deg, I 29; 69.76 deg, I 11; 78.80 deg, I 15; 83.07 deg, I 14

Crystal structure
Cell: 9.340 9.340 6.994 Å, 90.00 90.00 120.00°
Element x y z (fractional)
Sm 0.000 0.333 0.250
Sm 0.000 0.667 0.750
Sm 0.333 0.000 0.250
Sm 0.333 0.333 0.750
Sm 0.333 0.667 0.000
Sm 0.333 0.667 0.500
Sm 0.667 0.000 0.750
Sm 0.667 0.333 0.000
Sm 0.667 0.333 0.500
Sm 0.667 0.667 0.250
Er 0.000 0.000 0.000
Er 0.000 0.000 0.500
Cd 0.000 0.330 0.750
Cd 0.000 0.670 0.250
Cd 0.330 0.000 0.750
Cd 0.330 0.330 0.250
Cd 0.670 0.000 0.250
Cd 0.670 0.670 0.750

=====

Structure and computed powder XRD pattern of Sm3Er2Cd3 (a GGA-PBE-relaxed structure; Cu Ka).
Neutral-atom scattering factors, no anomalous dispersion.

Peak list (10 most intense, 2θ from 10° to 90°, by angle)
32.00 deg, I 24; 32.90 deg, I 27; 33.19 deg, I 100; 46.56 deg, I 17; 48.71 deg, I 9; 57.79 deg, I 14; 58.93 deg, I 19; 59.47 deg, I 8; 60.03 deg, I 9; 69.66 deg, I 10

Crystal structure
Cell: 3.739 5.444 22.375 Å, 90.00 90.00 90.00°
Element x y z (fractional)
Sm 0.000 0.000 0.000
Sm 0.000 0.500 0.124
Sm 0.000 0.500 0.876
Sm 0.500 0.000 0.376
Sm 0.500 0.000 0.624
Sm 0.500 0.500 0.500
Er 0.000 0.000 0.235
Er 0.000 0.000 0.765
Er 0.500 0.500 0.265
Er 0.500 0.500 0.735
Cd 0.000 0.000 0.500
Cd 0.000 0.500 0.380
Cd 0.000 0.500 0.620
Cd 0.500 0.000 0.120
Cd 0.500 0.000 0.880
Cd 0.500 0.500 0.000

=====

Structure and computed powder XRD pattern of Er3CdSn (a GGA-PBE-relaxed structure; Cu Ka).
Neutral-atom scattering factors, no anomalous dispersion.

Peak list (10 most intense, 2θ from 10° to 90°, by angle)
28.54 deg, I 100; 29.92 deg, I 67; 30.30 deg, I 62; 33.25 deg, I 34; 33.46 deg, I 64; 34.47 deg, I 73; 35.87 deg, I 39; 37.91 deg, I 82; 39.20 deg, I 67; 57.30 deg, I 30

Crystal structure
Cell: 6.337 10.018 8.932 Å, 90.00 90.00 90.00°
Element x y z (fractional)
Er 0.101 0.064 0.176
Er 0.101 0.436 0.176
Er 0.203 0.750 0.364
Er 0.297 0.250 0.864
Er 0.399 0.564 0.676
Er 0.399 0.936 0.676
Er 0.601 0.064 0.324
Er 0.601 0.436 0.324
Er 0.703 0.750 0.136
Er 0.797 0.250 0.636
Er 0.899 0.564 0.824
Er 0.899 0.936 0.824
Cd 0.000 0.000 0.500
Cd 0.000 0.500 0.500
Cd 0.500 0.000 0.000
Cd 0.500 0.500 0.000
Sn 0.186 0.750 0.013
Sn 0.314 0.250 0.513
Sn 0.686 0.750 0.487
Sn 0.814 0.250 0.987

=====

Structure and computed powder XRD pattern of Er5Cd2Sn (a GGA-PBE-relaxed structure; Cu Ka).
Neutral-atom scattering factors, no anomalous dispersion.

Peak list (10 most intense, 2θ from 10° to 90°, by angle)
30.82 deg, I 9; 31.54 deg, I 14; 31.95 deg, I 100; 34.56 deg, I 56; 35.22 deg, I 17; 41.68 deg, I 12; 50.45 deg, I 11; 55.23 deg, I 20; 64.59 deg, I 11; 64.86 deg, I 18

Crystal structure
Cell: 8.715 8.715 8.715 Å, 123.83 123.83 83.49°
Element x y z (fractional)
Er 0.000 0.000 0.000
Er 0.003 0.503 0.810
Er 0.193 0.003 0.500
Er 0.307 0.807 0.810
Er 0.497 0.307 0.500
Er 0.500 0.500 0.000
Er 0.503 0.693 0.500
Er 0.693 0.193 0.190
Er 0.807 0.997 0.500
Er 0.997 0.497 0.190
Cd 0.136 0.364 0.500
Cd 0.364 0.864 0.227
Cd 0.636 0.136 0.773
Cd 0.864 0.636 0.500
Sn 0.250 0.250 0.000
Sn 0.750 0.750 0.000